(1)
This entry pairs a crystal structure of PrSm4Er2Mg with its calculated powder diffraction line list. Radiation: Cu Kα X-rays. Structure: a cell relaxed with PBE.
Peak positions follow from Bragg's law for the DFT cell and can differ from measured ones.

Structural model:
a = 5.8328 Å, b = 5.8328 Å, c = 7.5426 Å
α = 90.00°, β = 90.00°, γ = 90.00°
Space group P4/mmm (No. 123)
Inequivalent atoms, fractional coordinates:
Pr 0.0000 0.0000 0.0000 [1 per cell]
Sm 0.0000 0.5000 0.2470 [4 per cell]
Er 0.0000 0.0000 0.5000 [1 per cell]
Er 0.5000 0.5000 0.5000 [1 per cell]
Mg 0.5000 0.5000 0.0000 [1 per cell]

Principal peaks in the range 10° ≤ 2θ ≤ 90°, by angle:
hkl 2 0 0, 30.7 deg, I 57; hkl 1 1 2, 32.2 deg, I 100; hkl 2 2 0, 43.9 deg, I 21; hkl 0 0 4, 48.3 deg, I 8; hkl 3 1 2, 55.5 deg, I 43; hkl 2 0 4, 58.3 deg, I 19; hkl 2 2 4, 67.3 deg, I 12; hkl 4 2 0, 72.5 deg, I 10; hkl 3 3 2, 73.3 deg, I 9; hkl 5 1 2, 89.5 deg, I 12



(2)
This entry pairs a crystal structure of LiAg2S2 with its calculated powder diffraction line list. Radiation: Cu Kα X-rays. Structure: a cell relaxed with PBE.
Peak positions follow from Bragg's law for the DFT cell and can differ from measured ones.

Structural model:
a = 8.7626 Å, b = 7.3356 Å, c = 6.5652 Å
α = 90.00°, β = 99.97°, γ = 90.00°
Space group P2_1/c (No. 14)
Inequivalent atoms, fractional coordinates:
Li 0.1509 0.0775 0.3967 [4 per cell]
Ag 0.1227 0.6491 0.4924 [4 per cell]
Ag 0.4306 0.7169 0.4174 [4 per cell]
S 0.0557 0.1418 0.7317 [4 per cell]
S 0.3669 0.5173 0.6967 [4 per cell]

Principal peaks in the range 10° ≤ 2θ ≤ 90°, by angle:
hkl 1 1 0, 15.9 deg, I 100; hkl 0 1 1, 18.3 deg, I 60; hkl 2 0 0, 20.6 deg, I 26; hkl 0 2 0, 24.3 deg, I 21; hkl 0 1 2, 30.2 deg, I 23; hkl 1 2 1, 30.7 deg, I 38; hkl 1 1 2, 33.5 deg, I 88; hkl 2 1 -2, 33.9 deg, I 27; hkl 3 0 -2, 38.1 deg, I 25; hkl 0 3 1, 39.4 deg, I 23



(3)
This entry pairs a crystal structure of Ti5VZn4 with its calculated powder diffraction line list. Radiation: Cu Kα X-rays. Structure: a cell relaxed with PBE.
Peak positions follow from Bragg's law for the DFT cell and can differ from measured ones.

Structural model:
a = 3.1389 Å, b = 3.1389 Å, c = 15.7718 Å
α = 90.00°, β = 90.00°, γ = 90.00°
Space group P4/mmm (No. 123)
Inequivalent atoms, fractional coordinates:
Ti 0.0000 0.0000 0.0000 [1 per cell]
Ti 0.0000 0.0000 0.2009 [2 per cell]
Ti 0.0000 0.0000 0.4058 [2 per cell]
V 0.5000 0.5000 0.5000 [1 per cell]
Zn 0.5000 0.5000 0.1000 [2 per cell]
Zn 0.5000 0.5000 0.3020 [2 per cell]

Principal peaks in the range 10° ≤ 2θ ≤ 90°, by angle:
hkl 0 0 5, 28.3 deg, I 2; hkl 1 0 0, 28.4 deg, I 4; hkl 1 0 5, 40.5 deg, I 100; hkl 1 1 0, 40.6 deg, I 50; hkl 0 0 10, 58.5 deg, I 8; hkl 2 0 0, 58.8 deg, I 15; hkl 1 1 10, 73.7 deg, I 15; hkl 2 1 5, 73.9 deg, I 30; hkl 2 0 10, 87.7 deg, I 9; hkl 2 2 0, 88.0 deg, I 5



(4)
This entry pairs a crystal structure of HoB4W with its calculated powder diffraction line list. Radiation: Cu Kα X-rays. Structure: a cell relaxed with PBE.
Peak positions follow from Bragg's law for the DFT cell and can differ from measured ones.

Structural model:
a = 6.0313 Å, b = 11.6488 Å, c = 3.6192 Å
α = 90.00°, β = 90.00°, γ = 90.00°
Space group Pbam (No. 55)
Inequivalent atoms, fractional coordinates:
Ho 0.1272 0.1495 0.0000 [4 per cell]
B 0.0233 0.6936 0.5000 [4 per cell]
B 0.1141 0.5476 0.5000 [4 per cell]
B 0.1332 0.9680 0.5000 [4 per cell]
B 0.2124 0.8135 0.5000 [4 per cell]
W 0.1312 0.4154 0.0000 [4 per cell]

Principal peaks in the range 10° ≤ 2θ ≤ 90°, by angle:
hkl 0 0 1, 24.6 deg, I 99; hkl 0 4 0, 30.6 deg, I 84; hkl 1 4 0, 34.2 deg, I 27; hkl 2 3 0, 37.8 deg, I 35; hkl 0 4 1, 39.7 deg, I 100; hkl 1 4 1, 42.6 deg, I 35; hkl 2 3 1, 45.6 deg, I 48; hkl 0 0 2, 50.4 deg, I 21; hkl 0 4 2, 60.2 deg, I 26; hkl 0 4 3, 87.5 deg, I 20



(5)
This entry pairs a crystal structure of SrTe2PdI with its calculated powder diffraction line list. Radiation: Cu Kα X-rays. Structure: a cell relaxed with PBE.
Peak positions follow from Bragg's law for the DFT cell and can differ from measured ones.

Structural model:
a = 5.3996 Å, b = 5.3996 Å, c = 5.5669 Å
α = 90.00°, β = 90.00°, γ = 90.00°
Space group P4/mmm (No. 123)
Inequivalent atoms, fractional coordinates:
Sr 0.0000 0.0000 0.0000 [1 per cell]
Te 0.0000 0.5000 0.5000 [2 per cell]
Pd 0.5000 0.5000 0.5000 [1 per cell]
I 0.5000 0.5000 0.0000 [1 per cell]

Principal peaks in the range 10° ≤ 2θ ≤ 90°, by angle:
hkl 0 0 1, 15.9 deg, I 16; hkl 1 0 0, 16.4 deg, I 32; hkl 1 1 1, 28.3 deg, I 100; hkl 0 0 2, 32.2 deg, I 47; hkl 2 0 0, 33.2 deg, I 86; hkl 2 0 2, 46.9 deg, I 65; hkl 2 2 0, 47.6 deg, I 31; hkl 3 1 1, 56.4 deg, I 29; hkl 2 2 2, 58.6 deg, I 33; hkl 4 2 2, 88.2 deg, I 21



(6)
This entry pairs a crystal structure of Nd7Ge2N2 with its calculated powder diffraction line list. Radiation: Cu Kα X-rays. Structure: a cell relaxed with PBE.
Peak positions follow from Bragg's law for the DFT cell and can differ from measured ones.

Structural model:
a = 11.4304 Å, b = 7.5018 Å, c = 6.4715 Å
α = 90.00°, β = 95.35°, γ = 90.00°
Space group C2/m (No. 12)
Inequivalent atoms, fractional coordinates:
Nd 0.0000 0.0000 0.0000 [2 per cell]
Nd 0.0646 0.5000 0.7724 [4 per cell]
Nd 0.2191 0.2831 0.2360 [8 per cell]
Ge 0.0000 0.1689 0.5000 [4 per cell]
N 0.2278 0.0000 0.0352 [4 per cell]

Principal peaks in the range 10° ≤ 2θ ≤ 90°, by angle:
hkl 2 2 0, 28.5 deg, I 100; hkl 3 1 -1, 28.8 deg, I 32; hkl 2 0 -2, 30.6 deg, I 71; hkl 4 0 0, 31.4 deg, I 38; hkl 1 1 2, 31.9 deg, I 32; hkl 2 2 1, 32.4 deg, I 62; hkl 4 0 -1, 33.2 deg, I 51; hkl 4 0 1, 35.7 deg, I 29; hkl 2 2 -2, 39.1 deg, I 42; hkl 1 3 -1, 39.2 deg, I 42



(7)
This entry pairs a crystal structure of Tb3Y5Tm2 with its calculated powder diffraction line list. Radiation: Cu Kα X-rays. Structure: a cell relaxed with PBE.
Peak positions follow from Bragg's law for the DFT cell and can differ from measured ones.

Structural model:
a = 10.7035 Å, b = 15.8774 Å, c = 9.3881 Å
α = 90.00°, β = 124.70°, γ = 90.00°
Space group C2/c (No. 15)
Inequivalent atoms, fractional coordinates:
Tb 0.0000 0.0297 0.2500 [4 per cell]
Tb 0.1471 0.3778 0.5461 [8 per cell]
Y 0.0000 0.2287 0.2500 [4 per cell]
Y 0.0000 0.2703 0.7500 [4 per cell]
Y 0.0000 0.4719 0.7500 [4 per cell]
Y 0.2451 0.1146 0.7433 [8 per cell]
Tm 0.1494 0.1194 0.0466 [8 per cell]

Principal peaks in the range 10° ≤ 2θ ≤ 90°, by angle:
hkl 2 2 -1, 20.0 deg, I 21; hkl 2 4 0, 30.3 deg, I 69; hkl 2 2 -3, 30.7 deg, I 100; hkl 0 4 2, 32.4 deg, I 29; hkl 4 0 -2, 33.5 deg, I 43; hkl 2 6 -1, 37.9 deg, I 26; hkl 2 0 2, 38.8 deg, I 20; hkl 4 4 -4, 47.3 deg, I 21; hkl 4 8 -2, 57.9 deg, I 20; hkl 4 6 1, 61.0 deg, I 19



(8)
This entry pairs a crystal structure of Na6Pb5 with its calculated powder diffraction line list. Radiation: Cu Kα X-rays. Structure: a cell relaxed with PBE.
Peak positions follow from Bragg's law for the DFT cell and can differ from measured ones.

Structural model:
a = 4.9571 Å, b = 14.9235 Å, c = 9.0745 Å
α = 90.00°, β = 90.00°, γ = 90.00°
Space group Cmmm (No. 65)
Inequivalent atoms, fractional coordinates:
Na 0.0000 0.0000 0.2284 [4 per cell]
Na 0.0000 0.3363 0.2508 [8 per cell]
Pb 0.0000 0.1641 0.5000 [4 per cell]
Pb 0.0000 0.1795 0.0000 [4 per cell]
Pb 0.0000 0.5000 0.5000 [2 per cell]

Principal peaks in the range 10° ≤ 2θ ≤ 90°, by angle:
hkl 0 0 2, 19.6 deg, I 47; hkl 1 3 0, 25.4 deg, I 50; hkl 1 3 2, 32.2 deg, I 100; hkl 0 6 0, 36.1 deg, I 17; hkl 2 0 0, 36.2 deg, I 19; hkl 2 0 2, 41.5 deg, I 16; hkl 1 3 4, 47.7 deg, I 20; hkl 2 0 4, 54.8 deg, I 22; hkl 3 3 2, 62.7 deg, I 15; hkl 1 3 6, 67.4 deg, I 23